Record 1
For Pr2MnH12Rh3, DFT lattice parameters and positions (GGA-PBE) gives the calculated powder X-ray diffraction pattern in this record (Cu Kα (λ = 1.5418 Å)).
Neutral-atom scattering factors, no anomalous dispersion.

Atomic structure:
```
data_Pr2MnH12Rh3
_chemical_formula_sum 'Pr6 Mn3 H36 Rh9'
_space_group_name_H-M_alt 'R -3 m'
_space_group_IT_number 166
_space_group_name_Hall '-R 3 2"'
_cell_length_a 6.2820
_cell_length_b 6.2820
_cell_length_c 14.3102
_cell_angle_alpha 90.00
_cell_angle_beta 90.00
_cell_angle_gamma 120.00
loop_
_atom_site_label
_atom_site_fract_x
_atom_site_fract_y
_atom_site_fract_z
Pr1 0.0000 0.0000 0.1220
Mn1 0.0000 0.0000 0.5000
H1 0.0231 0.5115 0.1191
H2 0.0309 0.5154 0.3432
Rh1 0.0000 0.5000 0.0000
```

Main lines, by angle (15° ≤ 2θ ≤ 90°):
2θ 28.4, 3.141 Å, I = 34, hkl 1 1 0
2θ 29.9, 2.989 Å, I = 62, hkl 1 0 4
2θ 33.5, 2.672 Å, I = 93, hkl 0 2 1
2θ 34.2, 2.623 Å, I = 100, hkl 1 1 3
2θ 35.3, 2.543 Å, I = 54, hkl 2 0 2
2θ 35.4, 2.533 Å, I = 53, hkl 0 1 5
2θ 51.2, 1.783 Å, I = 28, hkl 2 1 4
2θ 55.0, 1.670 Å, I = 29, hkl 1 2 5
2θ 58.8, 1.571 Å, I = 37, hkl 2 2 0
2θ 62.1, 1.495 Å, I = 30, hkl 2 0 8

---

Record 2
For MnHPt3, DFT lattice parameters and positions (GGA-PBE) gives the calculated powder X-ray diffraction pattern in this record (Cu Kα (λ = 1.5418 Å)).
Neutral-atom scattering factors, no anomalous dispersion.

Atomic structure:
```
data_MnHPt3
_chemical_formula_sum 'Mn2 H2 Pt6'
_space_group_name_H-M_alt 'P m n 21'
_space_group_IT_number 31
_space_group_name_Hall 'P 2ac -2'
_cell_length_a 5.667
_cell_length_b 4.059
_cell_length_c 5.657
_cell_angle_alpha 90.00
_cell_angle_beta 90.00
_cell_angle_gamma 90.00
loop_
_atom_site_label
_atom_site_fract_x
_atom_site_fract_y
_atom_site_fract_z
Mn1 0.000 0.015 0.000
H1 0.000 0.725 0.711
Pt1 0.000 0.022 0.481
Pt2 0.241 0.522 0.244
```

Main lines, by angle (15° ≤ 2θ ≤ 90°):
2θ 22.2, 4.004 Å, I = 10, hkl 1 0 1
2θ 31.4, 2.850 Å, I = 8, hkl 1 1 1
2θ 38.8, 2.322 Å, I = 100, hkl 2 1 0
2θ 44.6, 2.030 Å, I = 16, hkl 0 2 0
2θ 45.3, 2.002 Å, I = 33, hkl 2 0 2
2θ 65.5, 1.425 Å, I = 20, hkl 2 2 2
2θ 65.9, 1.417 Å, I = 5, hkl 4 0 0
2θ 66.1, 1.414 Å, I = 5, hkl 0 0 4
2θ 78.3, 1.221 Å, I = 11, hkl 2 3 0
2θ 79.3, 1.209 Å, I = 25, hkl 4 1 2

---

Record 3
For Rb3MnH8, DFT lattice parameters and positions (GGA-PBE) gives the calculated powder X-ray diffraction pattern in this record (Cu Kα (λ = 1.5418 Å)).
Neutral-atom scattering factors, no anomalous dispersion.

Atomic structure:
```
data_Rb3MnH8
_chemical_formula_sum 'Rb6 Mn2 H16'
_space_group_name_H-M_alt 'P 63 m c'
_space_group_IT_number 186
_space_group_name_Hall 'P 6c -2c'
_cell_length_a 8.1398
_cell_length_b 8.1398
_cell_length_c 6.5736
_cell_angle_alpha 90.00
_cell_angle_beta 90.00
_cell_angle_gamma 120.00
loop_
_atom_site_label
_atom_site_fract_x
_atom_site_fract_y
_atom_site_fract_z
Rb1 0.1674 0.3349 0.0000
Mn1 0.3333 0.6667 0.4968
H1 0.0000 0.0000 0.2500
H2 0.1679 0.5839 0.3297
H3 0.2222 0.4443 0.5506
H4 0.3333 0.6667 0.7379
```

Main lines, by angle (15° ≤ 2θ ≤ 90°):
2θ 25.3, 3.525 Å, I = 24, hkl 2 0 0
2θ 27.1, 3.287 Å, I = 26, hkl 0 0 2
2θ 28.7, 3.106 Å, I = 100, hkl 2 0 1
2θ 37.4, 2.404 Å, I = 17, hkl 2 0 2
2θ 44.5, 2.035 Å, I = 20, hkl 2 2 0
2θ 48.9, 1.861 Å, I = 22, hkl 2 0 3
2θ 52.9, 1.730 Å, I = 23, hkl 2 2 2
2θ 53.9, 1.702 Å, I = 16, hkl 4 0 1
2θ 72.4, 1.306 Å, I = 14, hkl 4 2 1
2θ 85.3, 1.138 Å, I = 9, hkl 4 2 3

---

Record 4
For RbMn2H8, DFT lattice parameters and positions (GGA-PBE) gives the calculated powder X-ray diffraction pattern in this record (Cu Kα (λ = 1.5418 Å)).
Neutral-atom scattering factors, no anomalous dispersion.

Atomic structure:
```
data_RbMn2H8
_chemical_formula_sum 'Rb1 Mn2 H8'
_space_group_name_H-M_alt 'P 3 1 m'
_space_group_IT_number 157
_space_group_name_Hall 'P 3 -2'
_cell_length_a 4.4433
_cell_length_b 4.4433
_cell_length_c 5.9596
_cell_angle_alpha 90.00
_cell_angle_beta 90.00
_cell_angle_gamma 120.00
loop_
_atom_site_label
_atom_site_fract_x
_atom_site_fract_y
_atom_site_fract_z
Rb1 0.0000 0.0000 0.0000
Mn1 0.3333 0.6667 0.4947
H1 0.0000 0.4314 0.6736
H2 0.0000 0.7186 0.4142
H3 0.3333 0.6667 0.2345
```

Main lines, by angle (15° ≤ 2θ ≤ 90°):
2θ 27.6, 3.233 Å, I = 100, hkl 1 0 1
2θ 30.0, 2.980 Å, I = 25, hkl 0 0 2
2θ 40.6, 2.222 Å, I = 33, hkl 1 1 0
2θ 49.8, 1.831 Å, I = 18, hkl 2 0 1
2θ 51.3, 1.781 Å, I = 32, hkl 2 -1 2
2θ 51.8, 1.765 Å, I = 16, hkl 1 0 3
2θ 66.1, 1.413 Å, I = 15, hkl 3 -1 1
2θ 77.1, 1.237 Å, I = 9, hkl 2 -1 4
2θ 81.7, 1.178 Å, I = 8, hkl 3 0 2
2θ 82.1, 1.174 Å, I = 8, hkl 2 1 3

---

Record 5
For Rb2MnH6, DFT lattice parameters and positions (GGA-PBE) gives the calculated powder X-ray diffraction pattern in this record (Cu Kα (λ = 1.5418 Å)).
Neutral-atom scattering factors, no anomalous dispersion.

Atomic structure:
```
data_Rb2MnH6
_chemical_formula_sum 'Rb4 Mn2 H12'
_space_group_name_H-M_alt 'P 63 m c'
_space_group_IT_number 186
_space_group_name_Hall 'P 6c -2c'
_cell_length_a 5.9440
_cell_length_b 5.9440
_cell_length_c 9.3791
_cell_angle_alpha 90.00
_cell_angle_beta 90.00
_cell_angle_gamma 120.00
loop_
_atom_site_label
_atom_site_fract_x
_atom_site_fract_y
_atom_site_fract_z
Rb1 0.0000 0.0000 0.0000
Rb2 0.3333 0.6667 0.2664
Mn1 0.3333 0.6667 0.6664
H1 0.0918 0.5459 0.5530
H2 0.1892 0.3784 0.7482
```

Main lines, by angle (15° ≤ 2θ ≤ 90°):
2θ 19.7, 4.513 Å, I = 19, hkl 1 0 1
2θ 25.7, 3.467 Å, I = 100, hkl 1 0 2
2θ 30.1, 2.972 Å, I = 85, hkl 1 1 0
2θ 33.5, 2.672 Å, I = 25, hkl 1 0 3
2θ 40.0, 2.256 Å, I = 32, hkl 2 0 2
2θ 49.5, 1.841 Å, I = 15, hkl 1 1 4
2θ 50.8, 1.797 Å, I = 29, hkl 2 1 2
2θ 53.4, 1.716 Å, I = 16, hkl 3 0 0
2θ 55.6, 1.652 Å, I = 11, hkl 2 1 3
2θ 68.7, 1.366 Å, I = 12, hkl 3 1 2

---

Record 6
For RbMnHSe2, DFT lattice parameters and positions (GGA-PBE) gives the calculated powder X-ray diffraction pattern in this record (Cu Kα (λ = 1.5418 Å)).
Neutral-atom scattering factors, no anomalous dispersion.

Atomic structure:
```
data_RbMnHSe2
_chemical_formula_sum 'Rb4 Mn4 H4 Se8'
_space_group_name_H-M_alt 'C m m e'
_space_group_IT_number 67
_space_group_name_Hall '-C 2a 2'
_cell_length_a 5.500
_cell_length_b 13.225
_cell_length_c 6.060
_cell_angle_alpha 90.00
_cell_angle_beta 90.00
_cell_angle_gamma 90.00
loop_
_atom_site_label
_atom_site_fract_x
_atom_site_fract_y
_atom_site_fract_z
Rb1 0.000 0.250 0.249
Mn1 0.250 0.000 0.500
H1 0.000 0.000 0.000
Se1 0.000 0.083 0.762
```

Main lines, by angle (15° ≤ 2θ ≤ 90°):
2θ 29.5, 3.030 Å, I = 15, hkl 0 0 2
2θ 29.9, 2.992 Å, I = 100, hkl 1 3 1
2θ 32.5, 2.751 Å, I = 15, hkl 2 0 0
2θ 44.5, 2.036 Å, I = 24, hkl 2 0 2
2θ 51.3, 1.782 Å, I = 16, hkl 0 6 2
2θ 52.5, 1.742 Å, I = 19, hkl 1 3 3
2θ 53.3, 1.720 Å, I = 14, hkl 2 6 0
2θ 56.4, 1.630 Å, I = 16, hkl 3 3 1
2θ 62.0, 1.496 Å, I = 7, hkl 2 6 2
2θ 67.8, 1.382 Å, I = 9, hkl 1 9 1